No. 1
Starting from a crystal structure in Alexandria, relaxed with GGA-PBE, the XRD peak list of CsCu2PtCl8 was calculated for a wavelength of 1.5418 Å.
Intensities are scaled so that the largest is 100.

Peak list (10 most intense, 10 to 90 degrees two-theta, sorted by position)
2θ/deg, I/Imax, hkl
17.38, 24, 0 0 6
20.09, 100, 1 0 4
28.55, 57, 1 1 0
33.61, 27, 2 -1 6
33.68, 13, 1 0 10
35.13, 24, 0 2 4
45.85, 22, 3 -1 4
45.96, 16, 1 1 12
50.52, 30, 3 0 0
53.87, 12, 2 1 10

Structural model:
```
data_CsCu2PtCl8
_chemical_formula_sum 'Cs3 Cu6 Pt3 Cl24'
_symmetry_space_group_name_H-M 'R -3'
_symmetry_Int_Tables_number 148
_symmetry_space_group_name_Hall '-R 3'
_cell_length_a 6.2601
_cell_length_b 6.2601
_cell_length_c 30.5405
_cell_angle_alpha 90.00
_cell_angle_beta 90.00
_cell_angle_gamma 120.00
loop_
_atom_site_label
_atom_site_type_symbol
_atom_site_fract_x
_atom_site_fract_y
_atom_site_fract_z
_atom_site_occupancy
Cs1 Cs 0.0000 0.0000 0.0000 1
Cu1 Cu 0.0000 0.0000 0.2306 1
Pt1 Pt 0.0000 0.0000 0.5000 1
Cl1 Cl 0.0000 0.0000 0.3031 1
Cl2 Cl 0.0128 0.3134 0.5456 1
```

No. 2
Starting from a crystal structure in Alexandria, relaxed with GGA-PBE, the XRD peak list of LaAgSbI2 was calculated for a wavelength of 1.5418 Å.
Intensities are scaled so that the largest is 100.

Peak list (10 most intense, 10 to 90 degrees two-theta, sorted by position)
2θ/deg, I/Imax, hkl
22.48, 18, 1 0 1
27.79, 100, 1 1 1
31.41, 45, 0 0 2
32.59, 81, 2 0 0
45.89, 62, 2 0 2
46.75, 29, 2 2 0
55.26, 29, 3 1 1
57.41, 31, 2 2 2
75.16, 20, 2 0 4
86.20, 20, 4 2 2

Structural model:
```
data_LaAgSbI2
_chemical_formula_sum 'La1 Ag1 Sb1 I2'
_symmetry_space_group_name_H-M 'P 4/m m m'
_symmetry_Int_Tables_number 123
_symmetry_space_group_name_Hall '-P 4 2'
_cell_length_a 5.4956
_cell_length_b 5.4956
_cell_length_c 5.6968
_cell_angle_alpha 90.00
_cell_angle_beta 90.00
_cell_angle_gamma 90.00
loop_
_atom_site_label
_atom_site_type_symbol
_atom_site_fract_x
_atom_site_fract_y
_atom_site_fract_z
_atom_site_occupancy
La1 La 0.0000 0.0000 0.0000 1
Ag1 Ag 0.5000 0.5000 0.5000 1
Sb1 Sb 0.5000 0.5000 0.0000 1
I1 I 0.0000 0.5000 0.5000 1
```

No. 3
Starting from a crystal structure in Alexandria, relaxed with GGA-PBE, the XRD peak list of PmNdTcN4 was calculated for a wavelength of 1.5418 Å.
Intensities are scaled so that the largest is 100.

Peak list (10 most intense, 10 to 90 degrees two-theta, sorted by position)
2θ/deg, I/Imax, hkl
31.34, 100, 1 0 3
32.70, 58, 1 1 0
42.83, 12, 0 0 6
43.70, 12, 1 1 4
46.93, 27, 2 0 0
54.91, 17, 1 1 6
57.52, 37, 2 1 3
65.39, 13, 2 0 6
68.54, 8, 2 2 0
78.00, 13, 3 1 0

Structural model:
```
data_PmNdTcN4
_chemical_formula_sum 'Pm2 Nd2 Tc2 N8'
_symmetry_space_group_name_H-M 'I 4 m m'
_symmetry_Int_Tables_number 107
_symmetry_space_group_name_Hall 'I 4 -2'
_cell_length_a 3.8725
_cell_length_b 3.8725
_cell_length_c 12.6697
_cell_angle_alpha 90.00
_cell_angle_beta 90.00
_cell_angle_gamma 90.00
loop_
_atom_site_label
_atom_site_type_symbol
_atom_site_fract_x
_atom_site_fract_y
_atom_site_fract_z
_atom_site_occupancy
Pm1 Pm 0.0000 0.0000 0.0000 1
Nd1 Nd 0.0000 0.0000 0.2935 1
Tc1 Tc 0.0000 0.0000 0.6461 1
N1 N 0.0000 0.0000 0.4791 1
N2 N 0.0000 0.0000 0.8153 1
N3 N 0.0000 0.5000 0.1461 1
```

No. 4
Starting from a crystal structure in Alexandria, relaxed with GGA-PBE, the XRD peak list of TbAlRe was calculated for a wavelength of 1.5418 Å.
Intensities are scaled so that the largest is 100.

Peak list (10 most intense, 10 to 90 degrees two-theta, sorted by position)
2θ/deg, I/Imax, hkl
20.26, 25, 1 0 1
31.99, 50, 0 2 0
32.98, 47, 1 1 2
38.16, 26, 1 2 1
38.91, 58, 0 1 3
39.11, 100, 2 1 1
41.19, 26, 2 0 2
59.51, 26, 2 0 4
61.82, 26, 2 3 1
69.17, 30, 2 2 4

Structural model:
```
data_TbAlRe
_chemical_formula_sum 'Tb4 Al4 Re4'
_symmetry_space_group_name_H-M 'I m m a'
_symmetry_Int_Tables_number 74
_symmetry_space_group_name_Hall '-I 2b 2'
_cell_length_a 5.3566
_cell_length_b 5.5955
_cell_length_c 7.6279
_cell_angle_alpha 90.00
_cell_angle_beta 90.00
_cell_angle_gamma 90.00
loop_
_atom_site_label
_atom_site_type_symbol
_atom_site_fract_x
_atom_site_fract_y
_atom_site_fract_z
_atom_site_occupancy
Tb1 Tb 0.0000 0.2500 0.1171 1
Al1 Al 0.0000 0.0000 0.5000 1
Re1 Re 0.2500 0.2500 0.7500 1
```

What did the second record say?
Starting from a crystal structure in Alexandria, relaxed with GGA-PBE, the XRD peak list of LaAgSbI2 was calculated for a wavelength of 1.5418 Å.
Intensities are scaled so that the largest is 100.

Peak list (10 most intense, 10 to 90 degrees two-theta, sorted by position)
2θ/deg, I/Imax, hkl
22.48, 18, 1 0 1
27.79, 100, 1 1 1
31.41, 45, 0 0 2
32.59, 81, 2 0 0
45.89, 62, 2 0 2
46.75, 29, 2 2 0
55.26, 29, 3 1 1
57.41, 31, 2 2 2
75.16, 20, 2 0 4
86.20, 20, 4 2 2

Structural model:
```
data_LaAgSbI2
_chemical_formula_sum 'La1 Ag1 Sb1 I2'
_symmetry_space_group_name_H-M 'P 4/m m m'
_symmetry_Int_Tables_number 123
_symmetry_space_group_name_Hall '-P 4 2'
_cell_length_a 5.4956
_cell_length_b 5.4956
_cell_length_c 5.6968
_cell_angle_alpha 90.00
_cell_angle_beta 90.00
_cell_angle_gamma 90.00
loop_
_atom_site_label
_atom_site_type_symbol
_atom_site_fract_x
_atom_site_fract_y
_atom_site_fract_z
_atom_site_occupancy
La1 La 0.0000 0.0000 0.0000 1
Ag1 Ag 0.5000 0.5000 0.5000 1
Sb1 Sb 0.5000 0.5000 0.0000 1
I1 I 0.0000 0.5000 0.5000 1
```